No. 1
The following is a theoretical PXRD pattern of TaZnW3. It was derived from DFT lattice parameters and positions (PBE), using Cu Ka.
Intensities are scaled so that the largest is 100.

Atomic structure:
Unit cell a=12.8485 b=12.8485 c=3.0150 alpha=90.00 beta=90.00 gamma=160.51
Element x y z (fractional)
Ta 0.1639 0.8361 0.0000
Ta 0.8361 0.1639 0.0000
Zn 0.3712 0.6288 0.5000
Zn 0.6288 0.3712 0.5000
W 0.0546 0.9454 0.5000
W 0.2731 0.7269 0.5000
W 0.4516 0.5484 0.0000
W 0.5484 0.4516 0.0000
W 0.7269 0.2731 0.5000
W 0.9454 0.0546 0.5000

Main lines, low angle first (10° ≤ 2θ ≤ 90°):
2θ (°)  Rel. int.
35.44  29
36.63  22
37.84  100
38.09  31
41.52  46
48.98  27
55.71  16
60.45  18
61.51  15
76.96  15



No. 2
The following is a theoretical PXRD pattern of NaTeAsW. It was derived from DFT lattice parameters and positions (PBE), using Cu Ka.
Intensities are scaled so that the largest is 100.

Atomic structure:
Unit cell a=4.7785 b=4.7785 c=4.7785 alpha=60.00 beta=60.00 gamma=60.00
Element x y z (fractional)
Na 0.0000 0.0000 0.0000
Te 0.2500 0.2500 0.2500
As 0.7500 0.7500 0.7500
W 0.5000 0.5000 0.5000

Main lines, low angle first (10° ≤ 2θ ≤ 90°):
2θ (°)  Rel. int.
22.79  39
37.65  100
44.46  20
54.30  17
59.64  9
67.96  35
72.71  7
80.38  11
84.89  7



No. 3
The following is a theoretical PXRD pattern of RbCu2IBrCl. It was derived from DFT lattice parameters and positions (PBE), using Cu Ka.
Intensities are scaled so that the largest is 100.

Atomic structure:
Unit cell a=7.6919 b=5.4193 c=8.9568 alpha=90.00 beta=110.65 gamma=90.00
Element x y z (fractional)
Rb 0.1949 0.2500 0.3835
Rb 0.8051 0.7500 0.6165
Cu 0.3927 0.0000 0.8507
Cu 0.3927 0.5000 0.8507
Cu 0.6073 0.0000 0.1493
Cu 0.6073 0.5000 0.1493
I 0.2928 0.7500 0.0678
I 0.7072 0.2500 0.9322
Br 0.0992 0.2500 0.7279
Br 0.9008 0.7500 0.2721
Cl 0.3883 0.7500 0.6294
Cl 0.6117 0.2500 0.3706

Main lines, low angle first (10° ≤ 2θ ≤ 90°):
2θ (°)  Rel. int.
10.56  63
13.09  86
21.00  36
25.07  94
26.29  55
26.89  65
29.80  72
29.95  58
31.17  37
42.73  100



No. 4
The following is a theoretical PXRD pattern of PrAs2Au. It was derived from DFT lattice parameters and positions (PBE), using Cu Ka.
Intensities are scaled so that the largest is 100.

Atomic structure:
Unit cell a=5.8545 b=20.6990 c=5.8372 alpha=90.00 beta=90.00 gamma=90.00
Element x y z (fractional)
Pr 0.0145 0.1162 0.2500
Pr 0.0145 0.3838 0.7500
Pr 0.4844 0.6200 0.7500
Pr 0.4844 0.8800 0.2500
Pr 0.5156 0.1200 0.7500
Pr 0.5156 0.3800 0.2500
Pr 0.9855 0.6162 0.2500
Pr 0.9855 0.8838 0.7500
As 0.0155 0.1588 0.7500
As 0.0155 0.3412 0.2500
As 0.2754 0.0008 0.5277
As 0.2754 0.0008 0.9723
As 0.2754 0.4992 0.0277
As 0.2754 0.4992 0.4723
As 0.4849 0.6601 0.2500
As 0.4849 0.8399 0.7500
As 0.5151 0.1601 0.2500
As 0.5151 0.3399 0.7500
As 0.7246 0.5008 0.5277
As 0.7246 0.5008 0.9723
As 0.7246 0.9992 0.0277
As 0.7246 0.9992 0.4723
As 0.9845 0.6588 0.7500
As 0.9845 0.8412 0.2500
Au 0.2309 0.7500 0.0000
Au 0.2309 0.7500 0.5000
Au 0.2660 0.2500 0.0000
Au 0.2660 0.2500 0.5000
Au 0.7340 0.7500 0.0000
Au 0.7340 0.7500 0.5000
Au 0.7691 0.2500 0.0000
Au 0.7691 0.2500 0.5000

Main lines, low angle first (10° ≤ 2θ ≤ 90°):
2θ (°)  Rel. int.
23.17  7
31.81  7
33.84  7
34.67  20
35.27  100
40.45  9
43.80  31
57.03  17
74.86  9
75.01  10



No. 5
The following is a theoretical PXRD pattern of TbLuAg2Sn2. It was derived from DFT lattice parameters and positions (PBE), using Cu Ka.
Intensities are scaled so that the largest is 100.

Atomic structure:
Unit cell a=4.7163 b=4.7163 c=7.2846 alpha=90.00 beta=90.00 gamma=120.00
Element x y z (fractional)
Tb 0.0000 0.0000 0.0000
Lu 0.0000 0.0000 0.5011
Ag 0.3333 0.6667 0.1931
Ag 0.6667 0.3333 0.6848
Sn 0.3333 0.6667 0.7767
Sn 0.6667 0.3333 0.2816

Main lines, low angle first (10° ≤ 2θ ≤ 90°):
2θ (°)  Rel. int.
24.99  10
32.95  100
38.16  78
43.35  16
51.29  29
64.67  14
65.69  27
68.36  7
68.98  14
81.66  9



No. 6
The following is a theoretical PXRD pattern of HgTePdO. It was derived from DFT lattice parameters and positions (PBE), using Cu Ka.
Intensities are scaled so that the largest is 100.

Atomic structure:
Unit cell a=5.8232 b=6.6384 c=8.1746 alpha=90.00 beta=90.00 gamma=90.00
Element x y z (fractional)
Hg 0.1759 0.1032 0.0167
Hg 0.3241 0.8968 0.5167
Hg 0.6759 0.3968 0.9833
Hg 0.8241 0.6032 0.4833
Te 0.1705 0.6111 0.1260
Te 0.3295 0.3889 0.6260
Te 0.6705 0.8889 0.8740
Te 0.8295 0.1111 0.3740
Pd 0.2414 0.2537 0.3220
Pd 0.2586 0.7463 0.8220
Pd 0.7414 0.2463 0.6780
Pd 0.7586 0.7537 0.1780
O 0.1046 0.2204 0.7404
O 0.3954 0.7796 0.2404
O 0.6046 0.2796 0.2596
O 0.8954 0.7204 0.7596

Main lines, low angle first (10° ≤ 2θ ≤ 90°):
2θ (°)  Rel. int.
29.91  42
30.71  41
31.01  21
32.65  42
32.94  100
35.62  52
47.11  25
47.72  24
49.20  25
60.17  22